Structure and simulated powder diffraction line list of RbTlI3 (a structure optimized by DFT (GGA-PBE); Cu Ka).
Intensities are scaled so that the largest is 1000.

Structural model:
Lattice parameters (Å, degrees): 8.8962 8.8962 8.8962 60.00 60.00 60.00
Atoms (fractional coordinates):
Rb  0.2500  0.2500  0.2500
Rb  0.7500  0.7500  0.7500
Tl  0.0000  0.0000  0.0000
Tl  0.5000  0.5000  0.5000
I  0.2427  0.2427  0.7573
I  0.2427  0.7573  0.2427
I  0.2427  0.7573  0.7573
I  0.7573  0.2427  0.2427
I  0.7573  0.2427  0.7573
I  0.7573  0.7573  0.2427

Peak list (12 most intense, 2θ from 10° to 90°, in order of rising 2θ)
two_theta, I_rel
14.08, 669
19.96, 275
24.51, 313
28.38, 1000
31.81, 378
34.94, 135
40.56, 755
43.14, 207
47.97, 137
50.24, 268
66.47, 343
73.79, 253